Entry 1:
For Be2AlZn, a DFT-relaxed cell (PBE, Alexandria) gives the calculated powder diffraction line list in this record (a wavelength of 1.5418 Å).

Largest 10 diffraction maxima, sorted by position, 2θ = 10–80°:
index  2theta  intensity
0 0 2  16.67  57
0 1 1  24.36  79
0 0 4  33.70  43
0 1 3  34.22  62
1 0 1  37.18  38
0 2 0  46.65  100
0 2 4  58.82  16
1 2 1  61.15  17
1 1 6  69.47  17
2 0 0  76.70  16

Crystal structure
Lattice parameters (Å, degrees): 2.483 3.890 10.639 90.00 90.00 90.00
Space group Imm2 (No. 44)
Inequivalent atoms, fractional coordinates:
1 Be 0.000 0.000 0.000 [2 per cell]
2 Be 0.000 0.500 0.316 [2 per cell]
3 Al 0.000 0.000 0.605 [2 per cell]
4 Zn 0.000 0.500 0.836 [2 per cell]

---

Entry 2:
For Mg4BiPd2, a DFT-relaxed cell (PBE, Alexandria) gives the calculated powder diffraction line list in this record (a wavelength of 1.5418 Å).

Largest 10 diffraction maxima, sorted by position, 2θ = 10–80°:
index  2theta  intensity
1 1 2  24.80  100
0 2 3  28.41  16
0 2 4  32.86  48
2 0 0  37.70  78
1 1 5  37.90  27
2 0 4  45.51  15
2 2 2  45.65  20
2 0 6  54.00  27
1 1 8  55.35  17
3 1 2  60.64  18

Crystal structure
Lattice parameters (Å, degrees): 4.772 8.267 14.500 90.00 90.00 90.00
Space group Cmcm (No. 63)
Inequivalent atoms, fractional coordinates:
1 Mg 0.000 0.000 0.000 [4 per cell]
2 Mg 0.000 0.333 0.118 [8 per cell]
3 Mg 0.000 0.334 0.750 [4 per cell]
4 Bi 0.000 0.001 0.750 [4 per cell]
5 Pd 0.000 0.334 0.562 [8 per cell]

---

Entry 3:
For La7Er2Tm, a DFT-relaxed cell (PBE, Alexandria) gives the calculated powder diffraction line list in this record (a wavelength of 1.5418 Å).

Largest 10 diffraction maxima, sorted by position, 2θ = 10–80°:
index  2theta  intensity
0 0 1  15.32  51
1 1 1  19.09  24
2 0 0  20.03  26
0 4 1  26.54  34
2 4 0  29.58  67
0 0 2  30.91  60
1 5 1  32.83  100
3 1 1  34.50  67
2 4 2  43.31  48
3 9 1  61.64  28

Crystal structure
Lattice parameters (Å, degrees): 8.867 16.503 5.785 90.00 90.00 90.00
Space group Cmmm (No. 65)
Inequivalent atoms, fractional coordinates:
1 La 0.000 0.000 0.000 [2 per cell]
2 La 0.000 0.271 0.500 [4 per cell]
3 La 0.181 0.387 0.000 [8 per cell]
4 Er 0.000 0.206 0.000 [4 per cell]
5 Tm 0.000 0.500 0.500 [2 per cell]

---

> What is the formula in the second record?

Mg4BiPd2